Entry 1:
Cs2Tl7Pd: computed PXRD pattern (Cu Kα X-rays), based on DFT lattice parameters and positions (GGA-PBE).

abc: 5.2820 5.2820 12.8746
angles: 90.00 90.00 90.00
Positions (direct):
Cs (0.0000, 0.5000, 0.2361)
Cs (0.5000, 0.0000, 0.7639)
Tl (0.0000, 0.0000, 0.0000)
Tl (0.0000, 0.0000, 0.5000)
Tl (0.0000, 0.5000, 0.6422)
Tl (0.0000, 0.5000, 0.8937)
Tl (0.5000, 0.0000, 0.1063)
Tl (0.5000, 0.0000, 0.3578)
Tl (0.5000, 0.5000, 0.5000)
Pd (0.5000, 0.5000, 0.0000)

Main lines, in order of rising 2θ (10 to 80 degrees two-theta):
2θ/deg  d (Å)  I (rel.)
13.76  6.437  28
18.15  4.887  28
26.77  3.331  75
27.61  3.231  100
33.94  2.641  100
36.85  2.439  83
43.74  2.069  40
48.76  1.867  36
56.96  1.617  27
62.66  1.483  31

---

Entry 2:
Cs2Tl2Pd: computed PXRD pattern (Cu Kα X-rays), based on DFT lattice parameters and positions (GGA-PBE).

abc: 4.9247 4.9247 34.3716
angles: 90.00 90.00 120.00
Positions (direct):
Cs (0.0000, 0.0000, 0.0713)
Cs (0.0000, 0.0000, 0.9287)
Cs (0.3333, 0.6667, 0.5954)
Cs (0.3333, 0.6667, 0.7380)
Cs (0.6667, 0.3333, 0.2620)
Cs (0.6667, 0.3333, 0.4046)
Tl (0.0000, 0.0000, 0.1877)
Tl (0.0000, 0.0000, 0.8123)
Tl (0.3333, 0.6667, 0.4790)
Tl (0.3333, 0.6667, 0.8543)
Tl (0.6667, 0.3333, 0.1457)
Tl (0.6667, 0.3333, 0.5210)
Pd (0.0000, 0.0000, 0.5000)
Pd (0.3333, 0.6667, 0.1667)
Pd (0.6667, 0.3333, 0.8333)

Main lines, in order of rising 2θ (10 to 80 degrees two-theta):
2θ/deg  d (Å)  I (rel.)
20.99  4.232  53
23.29  3.819  34
27.71  3.220  97
29.51  3.027  82
33.48  2.676  24
36.49  2.462  100
37.35  2.407  56
43.74  2.069  36
47.38  1.919  37
61.44  1.509  25

---

Entry 3:
CsTl12Pd6: computed PXRD pattern (Cu Kα X-rays), based on DFT lattice parameters and positions (GGA-PBE).

abc: 8.2831 8.2831 8.2831
angles: 104.67 104.67 104.67
Positions (direct):
Cs (0.0000, 0.0000, 0.0000)
Tl (0.1222, 0.5000, 0.8778)
Tl (0.1222, 0.8778, 0.5000)
Tl (0.1657, 0.4311, 0.4311)
Tl (0.4311, 0.1657, 0.4311)
Tl (0.4311, 0.4311, 0.1657)
Tl (0.5000, 0.1222, 0.8778)
Tl (0.5000, 0.8778, 0.1222)
Tl (0.5689, 0.5689, 0.8343)
Tl (0.5689, 0.8343, 0.5689)
Tl (0.8343, 0.5689, 0.5689)
Tl (0.8778, 0.1222, 0.5000)
Tl (0.8778, 0.5000, 0.1222)
Pd (0.2590, 0.2590, 0.6908)
Pd (0.2590, 0.6908, 0.2590)
Pd (0.3092, 0.7410, 0.7410)
Pd (0.6908, 0.2590, 0.2590)
Pd (0.7410, 0.3092, 0.7410)
Pd (0.7410, 0.7410, 0.3092)

Main lines, in order of rising 2θ (10 to 80 degrees two-theta):
2θ/deg  d (Å)  I (rel.)
11.74  7.539  24
29.72  3.006  100
29.88  2.990  49
35.59  2.522  39
35.73  2.513  60
36.30  2.475  46
39.11  2.303  23
43.71  2.071  46
54.00  1.698  24
57.57  1.601  27

---

Entry 4:
Cs4Tl5Pd3: computed PXRD pattern (Cu Kα X-rays), based on DFT lattice parameters and positions (GGA-PBE).

abc: 5.5133 8.4190 10.4297
angles: 83.65 74.98 71.30
Positions (direct):
Cs (0.0384, 0.1616, 0.2739)
Cs (0.3168, 0.5535, 0.3160)
Cs (0.6832, 0.4465, 0.6840)
Cs (0.9616, 0.8384, 0.7261)
Tl (0.0000, 0.5000, 0.0000)
Tl (0.3207, 0.8505, 0.0021)
Tl (0.3758, 0.1340, 0.6049)
Tl (0.6242, 0.8660, 0.3951)
Tl (0.6793, 0.1495, 0.9979)
Pd (0.2273, 0.1718, 0.8785)
Pd (0.5000, 0.5000, 0.0000)
Pd (0.7727, 0.8282, 0.1215)

Main lines, in order of rising 2θ (10 to 80 degrees two-theta):
2θ/deg  d (Å)  I (rel.)
17.62  5.035  26
26.45  3.370  43
26.56  3.356  41
26.68  3.341  41
27.07  3.293  100
32.48  2.756  73
33.73  2.657  57
34.41  2.606  25
44.13  2.052  20
47.35  1.920  20

---

Entry 5:
Cs2PmS3: computed PXRD pattern (Cu Kα X-rays), based on DFT lattice parameters and positions (GGA-PBE).

abc: 4.1864 6.2678 15.5766
angles: 90.00 90.00 90.00
Positions (direct):
Cs (0.0000, 0.0000, 0.1843)
Cs (0.0000, 0.0000, 0.8157)
Cs (0.5000, 0.5000, 0.3157)
Cs (0.5000, 0.5000, 0.6843)
Pm (0.0000, 0.0000, 0.5000)
Pm (0.5000, 0.5000, 0.0000)
S (0.0000, 0.5000, 0.1198)
S (0.0000, 0.5000, 0.5000)
S (0.0000, 0.5000, 0.8802)
S (0.5000, 0.0000, 0.0000)
S (0.5000, 0.0000, 0.3802)
S (0.5000, 0.0000, 0.6198)

Main lines, in order of rising 2θ (10 to 80 degrees two-theta):
2θ/deg  d (Å)  I (rel.)
22.23  3.998  74
25.59  3.481  49
27.37  3.259  100
28.48  3.134  53
34.55  2.596  29
39.91  2.259  71
43.20  2.094  22
43.48  2.081  28
49.13  1.854  18
52.58  1.741  18

---

Entry 6:
Cs3PmS3: computed PXRD pattern (Cu Kα X-rays), based on DFT lattice parameters and positions (GGA-PBE).

abc: 8.7524 15.0037 11.2790
angles: 90.00 127.50 90.00
Positions (direct):
Cs (0.1150, 0.1238, 0.4746)
Cs (0.1150, 0.3762, 0.9746)
Cs (0.1673, 0.1138, 0.8820)
Cs (0.1673, 0.3862, 0.3820)
Cs (0.3234, 0.6693, 0.5365)
Cs (0.3234, 0.8307, 0.0365)
Cs (0.6766, 0.1693, 0.9635)
Cs (0.6766, 0.3307, 0.4635)
Cs (0.8327, 0.6138, 0.6180)
Cs (0.8327, 0.8862, 0.1180)
Cs (0.8850, 0.6238, 0.0254)
Cs (0.8850, 0.8762, 0.5254)
Pm (0.4500, 0.0691, 0.3379)
Pm (0.4500, 0.4309, 0.8379)
Pm (0.5500, 0.5691, 0.1621)
Pm (0.5500, 0.9309, 0.6621)
S (0.1838, 0.1958, 0.2001)
S (0.1838, 0.3042, 0.7001)
S (0.3281, 0.5924, 0.8615)
S (0.3281, 0.9076, 0.3615)
S (0.3590, 0.5430, 0.2713)
S (0.3590, 0.9570, 0.7713)
S (0.6410, 0.0430, 0.2287)
S (0.6410, 0.4570, 0.7287)
S (0.6719, 0.0924, 0.6385)
S (0.6719, 0.4076, 0.1385)
S (0.8162, 0.6958, 0.2999)
S (0.8162, 0.8042, 0.7999)

Main lines, in order of rising 2θ (10 to 80 degrees two-theta):
2θ/deg  d (Å)  I (rel.)
20.72  4.286  63
21.90  4.059  94
23.69  3.756  100
25.00  3.562  43
25.93  3.436  59
26.35  3.383  59
27.06  3.296  57
27.59  3.233  82
31.75  2.819  44
31.95  2.801  44